Computed X-ray powder pattern of CsNpI6 for Cu Kα X-rays, from a structure optimized by DFT (GGA-PBE).

Structure:
Cell lengths 8.2253, 8.2253, 15.0040 Å; angles 90.00, 90.00, 120.00 degrees
Space group P-31c (No. 163)
Unique sites:
Cs (0.3333, 0.6667, 0.2500) [2 per cell]
Np (0.0000, 0.0000, 0.0000) [2 per cell]
I (0.0801, 0.3242, 0.6122) [12 per cell]

Top 12 peaks for 15° ≤ 2θ ≤ 90°, low angle first:
17.2°, d 5.166, I = 96, hkl 1 0 2; 21.7°, d 4.093, I = 33, hkl 1 0 3; 24.7°, d 3.606, I = 89, hkl 2 -1 2; 25.7°, d 3.465, I = 59, hkl 2 0 1; 32.3°, d 2.771, I = 100, hkl 2 -1 4; 34.7°, d 2.583, I = 30, hkl 2 0 4; 35.4°, d 2.534, I = 44, hkl 3 -1 2; 37.9°, d 2.373, I = 41, hkl 3 0 0; 46.4°, d 1.959, I = 25, hkl 4 -1 1; 47.6°, d 1.911, I = 26, hkl 3 1 2; 49.6°, d 1.837, I = 42, hkl 3 1 3; 55.7°, d 1.650, I = 25, hkl 4 -1 5

=====

Computed X-ray powder pattern of CsNp2I7 for Cu Kα X-rays, from a structure optimized by DFT (GGA-PBE).

Structure:
Cell lengths 9.935, 16.088, 6.188 Å; angles 90.00, 90.00, 90.00 degrees
Space group Cmmm (No. 65)
Unique sites:
Cs (0.000, 0.000, 0.000) [2 per cell]
Np (0.000, 0.304, 0.500) [4 per cell]
I (0.000, 0.299, 0.000) [4 per cell]
I (0.000, 0.500, 0.500) [2 per cell]
I (0.187, 0.140, 0.500) [8 per cell]

Top 12 peaks for 15° ≤ 2θ ≤ 90°, low angle first:
17.8°, d 4.976, I = 81, hkl 2 0 0; 18.8°, d 4.719, I = 47, hkl 1 3 0; 28.6°, d 3.126, I = 56, hkl 2 4 0; 28.9°, d 3.094, I = 100, hkl 0 0 2; 29.2°, d 3.061, I = 52, hkl 1 5 0; 31.1°, d 2.873, I = 60, hkl 3 1 1; 31.8°, d 2.818, I = 73, hkl 3 3 0; 32.6°, d 2.744, I = 36, hkl 1 5 1; 40.3°, d 2.239, I = 40, hkl 1 7 0; 41.0°, d 2.199, I = 42, hkl 2 4 2; 41.5°, d 2.176, I = 41, hkl 1 5 2; 43.4°, d 2.083, I = 62, hkl 3 3 2

=====

Computed X-ray powder pattern of CsNpI2O8 for Cu Kα X-rays, from a structure optimized by DFT (GGA-PBE).

Structure:
Cell lengths 6.4818, 6.4818, 8.2360 Å; angles 90.00, 90.00, 120.00 degrees
Space group P-3m1 (No. 164)
Unique sites:
Cs (0.0000, 0.0000, 0.0000) [1 per cell]
Np (0.0000, 0.0000, 0.5000) [1 per cell]
I (0.3333, 0.6667, 0.3371) [2 per cell]
O (0.1538, 0.3076, 0.3478) [6 per cell]
O (0.3333, 0.6667, 0.1203) [2 per cell]

Top 12 peaks for 15° ≤ 2θ ≤ 90°, low angle first:
15.8°, d 5.613, I = 51, hkl 1 0 0; 19.1°, d 4.639, I = 65, hkl 1 0 1; 26.9°, d 3.320, I = 100, hkl 1 0 2; 27.5°, d 3.241, I = 88, hkl 1 1 0; 35.2°, d 2.547, I = 16, hkl 1 1 2; 38.8°, d 2.319, I = 37, hkl 0 2 2; 47.0°, d 1.933, I = 24, hkl 0 1 4; 48.3°, d 1.886, I = 43, hkl 2 1 2; 48.7°, d 1.871, I = 18, hkl 3 0 0; 55.3°, d 1.660, I = 17, hkl 2 0 4; 62.9°, d 1.478, I = 22, hkl 1 2 4; 63.9°, d 1.456, I = 18, hkl 1 3 2

=====

Computed X-ray powder pattern of Cs2SrNpI6 for Cu Kα X-rays, from a structure optimized by DFT (GGA-PBE).

Structure:
Cell lengths 9.045, 12.813, 9.060 Å; angles 90.00, 90.00, 90.00 degrees
Space group Pmmn (No. 59, origin choice 2)
Unique sites:
Cs (0.250, 0.018, 0.237) [4 per cell]
Sr (0.250, 0.750, 0.750) [2 per cell]
Np (0.250, 0.250, 0.748) [2 per cell]
I (0.005, 0.250, 0.998) [4 per cell]
I (0.007, 0.250, 0.498) [4 per cell]
I (0.250, 0.003, 0.757) [4 per cell]

Top 12 peaks for 15° ≤ 2θ ≤ 90°, low angle first:
19.6°, d 4.527, I = 27, hkl 2 0 0; 24.1°, d 3.697, I = 53, hkl 2 2 0; 27.9°, d 3.201, I = 100, hkl 2 0 2; 31.2°, d 2.863, I = 18, hkl 1 4 1; 34.3°, d 2.614, I = 13, hkl 3 2 1; 39.8°, d 2.264, I = 75, hkl 4 0 0; 42.3°, d 2.134, I = 10, hkl 0 6 0; 47.1°, d 1.930, I = 23, hkl 4 2 2; 49.3°, d 1.848, I = 26, hkl 4 4 0; 57.6°, d 1.601, I = 12, hkl 4 0 4; 65.1°, d 1.432, I = 27, hkl 2 0 6; 72.3°, d 1.307, I = 16, hkl 2 4 6

=====

Computed X-ray powder pattern of CsIO2 for Cu Kα X-rays, from a structure optimized by DFT (GGA-PBE).

Structure:
Cell lengths 7.8890, 7.8890, 8.0017 Å; angles 90.00, 90.00, 120.00 degrees
Space group P3_121 (No. 152)
Unique sites:
Cs (0.0000, 0.7393, 0.1667) [3 per cell]
I (0.0000, 0.6320, 0.6667) [3 per cell]
O (0.1493, 0.8488, 0.5263) [6 per cell]

Top 12 peaks for 15° ≤ 2θ ≤ 90°, low angle first:
17.1°, d 5.196, I = 11, hkl 1 0 1; 22.5°, d 3.944, I = 100, hkl 1 1 0; 25.2°, d 3.538, I = 11, hkl 1 1 1; 25.8°, d 3.452, I = 80, hkl 1 0 2; 34.5°, d 2.598, I = 28, hkl 0 2 2; 36.6°, d 2.457, I = 13, hkl 2 1 1; 41.2°, d 2.190, I = 12, hkl 3 0 1; 41.6°, d 2.170, I = 29, hkl 2 1 2; 47.4°, d 1.920, I = 13, hkl 0 1 4; 49.1°, d 1.855, I = 14, hkl 2 1 3; 49.4°, d 1.844, I = 12, hkl 1 3 1; 58.4°, d 1.581, I = 11, hkl 1 2 4

=====

Computed X-ray powder pattern of CsI3O for Cu Kα X-rays, from a structure optimized by DFT (GGA-PBE).

Structure:
Cell lengths 7.448, 7.448, 12.886 Å; angles 90.00, 90.00, 90.00 degrees
Space group I4/mmm (No. 139)
Unique sites:
Cs (0.000, 0.500, 0.250) [4 per cell]
I (0.000, 0.000, 0.189) [4 per cell]
I (0.230, 0.230, 0.500) [8 per cell]
O (0.000, 0.000, 0.000) [2 per cell]
O (0.000, 0.000, 0.500) [2 per cell]

Top 12 peaks for 15° ≤ 2θ ≤ 90°, low angle first:
23.9°, d 3.721, I = 12, hkl 1 0 3; 27.7°, d 3.224, I = 100, hkl 2 0 2; 34.0°, d 2.633, I = 33, hkl 2 2 0; 36.9°, d 2.437, I = 7, hkl 3 0 1; 44.4°, d 2.039, I = 21, hkl 2 2 4; 45.6°, d 1.989, I = 5, hkl 1 1 6; 48.9°, d 1.862, I = 23, hkl 4 0 0; 55.2°, d 1.665, I = 5, hkl 2 2 6; 57.1°, d 1.612, I = 26, hkl 4 2 2; 68.2°, d 1.375, I = 5, hkl 2 2 8; 71.7°, d 1.316, I = 6, hkl 4 4 0; 78.5°, d 1.219, I = 11, hkl 6 0 2

=====

Computed X-ray powder pattern of Cs12IO3 for Cu Kα X-rays, from a structure optimized by DFT (GGA-PBE).

Structure:
Cell lengths 16.3072, 16.3072, 10.7840 Å; angles 90.00, 90.00, 120.00 degrees
Space group P6_3/m (No. 176)
Unique sites:
Cs (0.0232, 0.1945, 0.2500) [6 per cell]
Cs (0.0380, 0.5649, 0.7500) [6 per cell]
Cs (0.1970, 0.4483, 0.0458) [12 per cell]
I (0.3333, 0.6667, 0.7500) [2 per cell]
O (0.0917, 0.3807, 0.2500) [6 per cell]

Top 12 peaks for 15° ≤ 2θ ≤ 90°, low angle first:
18.9°, d 4.707, I = 14, hkl 3 0 0; 20.7°, d 4.285, I = 27, hkl 2 0 2; 22.7°, d 3.917, I = 31, hkl 3 1 0; 23.3°, d 3.813, I = 16, hkl 2 2 1; 23.5°, d 3.793, I = 100, hkl 1 2 2; 24.2°, d 3.682, I = 43, hkl 3 1 1; 25.2°, d 3.531, I = 14, hkl 4 0 0; 25.6°, d 3.484, I = 19, hkl 1 0 3; 33.5°, d 2.672, I = 15, hkl 4 2 0; 33.8°, d 2.648, I = 26, hkl 1 3 3; 37.4°, d 2.407, I = 18, hkl 3 2 3; 43.4°, d 2.085, I = 19, hkl 2 5 2

=====

Computed X-ray powder pattern of Cs2I7O for Cu Kα X-rays, from a structure optimized by DFT (GGA-PBE).

Structure:
Cell lengths 8.166, 8.166, 12.610 Å; angles 90.00, 90.00, 90.00 degrees
Space group I4/mmm (No. 139)
Unique sites:
Cs (0.000, 0.500, 0.250) [4 per cell]
I (0.000, 0.000, 0.000) [2 per cell]
I (0.000, 0.000, 0.234) [4 per cell]
I (0.215, 0.215, 0.500) [8 per cell]
O (0.000, 0.000, 0.500) [2 per cell]

Top 12 peaks for 15° ≤ 2θ ≤ 90°, low angle first:
20.9°, d 4.258, I = 8, hkl 1 1 2; 25.4°, d 3.508, I = 17, hkl 2 1 1; 26.0°, d 3.427, I = 100, hkl 2 0 2; 28.3°, d 3.153, I = 39, hkl 0 0 4; 31.0°, d 2.887, I = 54, hkl 2 2 0; 33.7°, d 2.661, I = 15, hkl 3 0 1; 42.5°, d 2.129, I = 43, hkl 2 2 4; 44.4°, d 2.041, I = 16, hkl 4 0 0; 48.7°, d 1.869, I = 16, hkl 2 0 6; 52.2°, d 1.754, I = 18, hkl 4 2 2; 53.5°, d 1.714, I = 18, hkl 4 0 4; 67.7°, d 1.384, I = 9, hkl 2 2 8